Theoretical powder XRD pattern
Compound: Li3NiAs2
Radiation: Cu Kα
Structure: a crystal structure in Alexandria, relaxed with GGA-PBE
Kinematic intensities with the Lorentz-polarization factor, no thermal factor.

Structure:
a = 7.4476 Å, b = 7.4476 Å, c = 7.4476 Å
α = 137.41°, β = 61.87°, γ = 137.33°
Fractional coordinates of all 12 atoms:
1 Li 0.1715 0.2421 0.4136
2 Li 0.2500 0.2500 0.0000
3 Li 0.3285 0.7421 0.0705
4 Li 0.6715 0.2579 0.9295
5 Li 0.7500 0.7500 0.0000
6 Li 0.8285 0.7579 0.5864
7 Ni 0.2500 0.7500 0.5000
8 Ni 0.7500 0.2500 0.5000
9 As 0.1216 0.7201 0.8418
10 As 0.3784 0.2201 0.5985
11 As 0.6216 0.7799 0.4015
12 As 0.8784 0.2799 0.1582

The 10 most intense peaks (5 to 70 degrees two-theta), in order of rising 2θ:
two_theta	I (rel.)
13.9	31
17.8	44
27.2	100
33.1	12
36.0	11
43.0	11
43.8	65
47.5	26
48.9	22
55.6	23